# Ca2Mn3Si3H3O14
Calculated powder X-ray diffraction pattern, Cu Kα (λ = 1.5418 Å). Input: a DFT-relaxed cell (PBE+U, the Materials Project).

Structural model:
a = 9.0831 Å, b = 6.2029 Å, c = 10.3562 Å
α = 90.00°, β = 111.37°, γ = 90.00°
Atoms (fractional coordinates):
Ca1 0.1700 0.2500 0.3126
Ca2 0.2957 0.2500 0.6799
Ca3 0.7043 0.7500 0.3201
Ca4 0.8300 0.7500 0.6874
Mn1 0.0000 0.0000 0.0000
Mn2 0.0000 0.5000 0.0000
Mn3 0.5000 0.0000 0.0000
Mn4 0.5000 0.0000 0.5000
Mn5 0.5000 0.5000 0.0000
Mn6 0.5000 0.5000 0.5000
Si1 0.1640 0.7500 0.4952
Si2 0.2075 0.7500 0.8014
Si3 0.3067 0.7500 0.1882
Si4 0.6933 0.2500 0.8118
Si5 0.7925 0.2500 0.1986
Si6 0.8360 0.2500 0.5048
H1 0.0082 0.2500 0.7369
H2 0.2088 0.2500 0.9859
H3 0.4153 0.2500 0.1629
H4 0.5847 0.7500 0.8371
H5 0.7912 0.7500 0.0141
H6 0.9918 0.7500 0.2631
O1 0.0088 0.2500 0.6412
O2 0.0742 0.7500 0.8727
O3 0.0885 0.2500 0.9368
O4 0.1026 0.7500 0.6294
O5 0.1931 0.5348 0.1638
O6 0.1931 0.9652 0.1638
O7 0.2577 0.5229 0.4962
O8 0.2577 0.9771 0.4962
O9 0.3162 0.5306 0.8318
O10 0.3162 0.9694 0.8318
O11 0.3948 0.2500 0.0627
O12 0.4140 0.7500 0.0908
O13 0.4390 0.2500 0.3831
O14 0.4456 0.7500 0.3464
O15 0.5544 0.2500 0.6536
O16 0.5610 0.7500 0.6169
O17 0.5860 0.2500 0.9092
O18 0.6052 0.7500 0.9373
O19 0.6838 0.0306 0.1682
O20 0.6838 0.4694 0.1682
O21 0.7423 0.0229 0.5038
O22 0.7423 0.4771 0.5038
O23 0.8069 0.0348 0.8362
O24 0.8069 0.4652 0.8362
O25 0.8974 0.2500 0.3706
O26 0.9115 0.7500 0.0632
O27 0.9258 0.2500 0.1273
O28 0.9912 0.7500 0.3588

Top 8 peaks for 10° ≤ 2θ ≤ 80°, in order of falling intensity:
2θ = 29.6°, intensity 100; 2θ = 22.3°, intensity 74; 2θ = 34.4°, intensity 68; 2θ = 54.8°, intensity 55; 2θ = 32.9°, intensity 52; 2θ = 36.7°, intensity 51; 2θ = 18.4°, intensity 49; 2θ = 59.6°, intensity 34